For Li5Pb6, a cell relaxed with PBE gives the theoretical powder diffractogram in this record (Cu Kα (weighted mean of Kα1 and Kα2)).
Intensities are scaled so that the largest is 1000.

Principal peaks in the range 10 to 80 degrees two-theta, low angle first:
Position (°2θ)	d_spacing	Rel. int.	index
24.84	3.584	519	2 0 0
25.51	3.492	1000	1 3 -1
35.55	2.526	449	1 3 1
36.15	2.485	225	2 0 -2
36.26	2.477	436	3 3 -1
36.62	2.454	213	0 6 0
43.76	2.069	115	0 0 2
44.76	2.025	217	2 6 0
52.40	1.746	154	2 6 -2
58.33	1.582	191	0 6 2

Structural model:
```
data_Li5Pb6
_cell_length_a 8.6124
_cell_length_b 14.7249
_cell_length_c 4.9711
_cell_angle_alpha 90.00
_cell_angle_beta 123.67
_cell_angle_gamma 90.00
_symmetry_space_group_name_H-M 'C 1 2/m 1'
_symmetry_Int_Tables_number 12
loop_
_symmetry_equiv_pos_as_xyz
'x,y,z'
'-x,-y,-z'
'-x,y,-z'
'x,-y,z'
'x+1/2,y+1/2,z'
'-x+1/2,-y+1/2,-z'
'-x+1/2,y+1/2,-z'
'x+1/2,-y+1/2,z'
loop_
_atom_site_label
_atom_site_type_symbol
_atom_site_fract_x
_atom_site_fract_y
_atom_site_fract_z
Li1 Li 0.0000 0.0000 0.0000
Li2 Li 0.0000 0.1660 0.5000
Li3 Li 0.0000 0.3250 0.0000
Pb1 Pb 0.2311 0.3395 0.7239
Pb2 Pb 0.2468 0.5000 0.2590
```

***

For Li8Pb3, a cell relaxed with PBE gives the theoretical powder diffractogram in this record (Cu Kα (weighted mean of Kα1 and Kα2)).
Intensities are scaled so that the largest is 1000.

Principal peaks in the range 10 to 80 degrees two-theta, low angle first:
Position (°2θ)	d_spacing	Rel. int.	index
22.43	3.964	1000	0 1 2
24.38	3.650	334	1 0 4
24.70	3.604	306	0 0 9
29.13	3.066	329	1 0 7
37.61	2.391	413	0 1 11
38.13	2.360	410	1 1 0
42.45	2.130	160	1 0 13
44.68	2.028	172	2 0 2
45.96	1.975	366	1 1 9
68.56	1.369	148	1 2 11

Structural model:
```
data_Li8Pb3
_cell_length_a 4.7207
_cell_length_b 4.7207
_cell_length_c 32.4340
_cell_angle_alpha 90.00
_cell_angle_beta 90.00
_cell_angle_gamma 120.00
_symmetry_space_group_name_H-M 'R -3 m'
_symmetry_Int_Tables_number 166
_symmetry_space_group_name_Hall '-R 3 2"'
loop_
_atom_site_label
_atom_site_type_symbol
_atom_site_fract_x
_atom_site_fract_y
_atom_site_fract_z
Li1 Li 0.0000 0.0000 0.0882
Li2 Li 0.0000 0.0000 0.1785
Li3 Li 0.0000 0.0000 0.2727
Li4 Li 0.0000 0.0000 0.3617
Pb1 Pb 0.0000 0.0000 0.0000
Pb2 Pb 0.0000 0.0000 0.4515
```

***

For Li4Pb5, a cell relaxed with PBE gives the theoretical powder diffractogram in this record (Cu Kα (weighted mean of Kα1 and Kα2)).
Intensities are scaled so that the largest is 1000.

Principal peaks in the range 10 to 80 degrees two-theta, low angle first:
Position (°2θ)	d_spacing	Rel. int.	index
17.50	5.069	518	0 2 0
25.88	3.443	555	1 0 1
27.40	3.255	474	0 3 1
29.46	3.032	539	0 0 4
30.24	2.955	423	1 1 2
33.38	2.685	985	1 0 3
34.59	2.593	885	0 3 3
36.51	2.461	1000	1 3 0
47.59	1.911	589	1 3 4
62.97	1.476	478	2 3 3

Structural model:
```
data_Li4Pb5
_cell_length_a 3.5905
_cell_length_b 10.1383
_cell_length_c 12.1284
_cell_angle_alpha 90.00
_cell_angle_beta 90.00
_cell_angle_gamma 90.00
_symmetry_space_group_name_H-M 'I m m m'
_symmetry_Int_Tables_number 71
_symmetry_space_group_name_Hall '-I 2 2'
loop_
_atom_site_label
_atom_site_type_symbol
_atom_site_fract_x
_atom_site_fract_y
_atom_site_fract_z
Li1 Li 0.0000 0.1813 0.1548
Pb1 Pb 0.0000 0.1581 0.5000
Pb2 Pb 0.0000 0.5000 0.2098
Pb3 Pb 0.0000 0.5000 0.5000
```